Record 1
Simulated X-ray powder pattern
Compound: Na3B5Pt9
Radiation: Cu Kα, 1.54184 Å
Structure: DFT lattice parameters and positions (PBE)
Intensities are scaled so that the largest is 1000.

Main lines, low angle first (2θ from 10° to 80°):
| 2θ (°) | I_rel |
| --- | --- |
| 17.57 | 577 |
| 33.20 | 886 |
| 35.81 | 706 |
| 36.06 | 1000 |
| 37.52 | 460 |
| 48.24 | 646 |
| 48.68 | 497 |
| 63.58 | 292 |

Structure:
Lattice parameters (Å, degrees): 6.4096 6.4096 15.2778 90.00 90.00 128.03
Element x y z (fractional)
Na 0.0590 0.9410 0.5867
Na 0.0590 0.9410 0.9133
Na 0.1860 0.8140 0.7500
Na 0.8140 0.1860 0.2500
Na 0.9410 0.0590 0.0867
Na 0.9410 0.0590 0.4133
B 0.2275 0.7725 0.2500
B 0.3104 0.6896 0.0278
B 0.3104 0.6896 0.4722
B 0.4442 0.5558 0.6465
B 0.4442 0.5558 0.8535
B 0.5558 0.4442 0.1465
B 0.5558 0.4442 0.3535
B 0.6896 0.3104 0.5278
B 0.6896 0.3104 0.9722
B 0.7725 0.2275 0.7500
Pt 0.0684 0.4363 0.5790
Pt 0.0684 0.4363 0.9210
Pt 0.1594 0.3333 0.7500
Pt 0.3333 0.1594 0.2500
Pt 0.3722 0.6278 0.1570
Pt 0.3722 0.6278 0.3430
Pt 0.4363 0.0684 0.0790
Pt 0.4363 0.0684 0.4210
Pt 0.5000 0.5000 0.0000
Pt 0.5000 0.5000 0.5000
Pt 0.5637 0.9316 0.5790
Pt 0.5637 0.9316 0.9210
Pt 0.6278 0.3722 0.6570
Pt 0.6278 0.3722 0.8430
Pt 0.6667 0.8406 0.7500
Pt 0.8406 0.6667 0.2500
Pt 0.9316 0.5637 0.0790
Pt 0.9316 0.5637 0.4210

=====

Record 2
Simulated X-ray powder pattern
Compound: NaBPt3
Radiation: Cu Kα, 1.54184 Å
Structure: DFT lattice parameters and positions (PBE)
Intensities are scaled so that the largest is 1000.

Main lines, low angle first (2θ from 10° to 80°):
| 2θ (°) | I_rel |
| --- | --- |
| 18.25 | 477 |
| 32.12 | 397 |
| 36.97 | 1000 |
| 37.19 | 248 |
| 49.77 | 748 |
| 66.63 | 188 |
| 75.90 | 213 |
| 79.24 | 218 |

Structure:
Lattice parameters (Å, degrees): 5.6146 5.6146 5.5738 90.00 90.00 120.00
Element x y z (fractional)
Na 0.0000 0.0000 0.0000
Na 0.0000 0.0000 0.5000
B 0.3333 0.6667 0.0000
B 0.6667 0.3333 0.0000
Pt 0.0000 0.5000 0.2572
Pt 0.0000 0.5000 0.7428
Pt 0.5000 0.0000 0.2572
Pt 0.5000 0.0000 0.7428
Pt 0.5000 0.5000 0.2572
Pt 0.5000 0.5000 0.7428

=====

Record 3
Simulated X-ray powder pattern
Compound: Na2B2S5
Radiation: Cu Kα, 1.54184 Å
Structure: DFT lattice parameters and positions (PBE)
Intensities are scaled so that the largest is 1000.

Main lines, low angle first (2θ from 10° to 80°):
| 2θ (°) | I_rel |
| --- | --- |
| 23.31 | 1000 |
| 26.63 | 561 |
| 27.29 | 319 |
| 32.39 | 791 |
| 33.43 | 638 |
| 34.29 | 349 |
| 45.74 | 278 |
| 47.66 | 325 |

Structure:
Lattice parameters (Å, degrees): 12.6605 7.6323 8.3516 90.00 90.00 90.00
Element x y z (fractional)
Na 0.1635 0.0034 0.0033
Na 0.1635 0.4966 0.0033
Na 0.3365 0.5034 0.5033
Na 0.3365 0.9966 0.5033
Na 0.6635 0.0034 0.4967
Na 0.6635 0.4966 0.4967
Na 0.8365 0.5034 0.9967
Na 0.8365 0.9966 0.9967
B 0.0140 0.2500 0.2923
B 0.1212 0.2500 0.5945
B 0.3788 0.7500 0.0945
B 0.4860 0.7500 0.7923
B 0.5140 0.2500 0.2077
B 0.6212 0.2500 0.9055
B 0.8788 0.7500 0.4055
B 0.9860 0.7500 0.7077
S 0.0069 0.7500 0.9184
S 0.0160 0.7500 0.3451
S 0.0946 0.7500 0.5656
S 0.1471 0.2500 0.3783
S 0.2263 0.2500 0.7361
S 0.2737 0.7500 0.2361
S 0.3529 0.7500 0.8783
S 0.4054 0.2500 0.0656
S 0.4840 0.2500 0.8451
S 0.4931 0.2500 0.4184
S 0.5069 0.7500 0.5816
S 0.5160 0.7500 0.1549
S 0.5946 0.7500 0.9344
S 0.6471 0.2500 0.1217
S 0.7263 0.2500 0.7639
S 0.7737 0.7500 0.2639
S 0.8529 0.7500 0.6217
S 0.9054 0.2500 0.4344
S 0.9840 0.2500 0.6549
S 0.9931 0.2500 0.0816

=====

Record 4
Simulated X-ray powder pattern
Compound: NaBS2
Radiation: Cu Kα, 1.54184 Å
Structure: DFT lattice parameters and positions (PBE)
Intensities are scaled so that the largest is 1000.

Main lines, low angle first (2θ from 10° to 80°):
| 2θ (°) | I_rel |
| --- | --- |
| 24.27 | 916 |
| 27.00 | 334 |
| 29.48 | 225 |
| 31.84 | 1000 |
| 35.40 | 407 |
| 36.01 | 238 |
| 37.99 | 507 |
| 47.72 | 218 |

Structure:
Lattice parameters (Å, degrees): 9.1441 9.1441 9.1441 112.57 112.57 112.57
Element x y z (fractional)
Na 0.2147 0.7500 0.2853
Na 0.2500 0.7147 0.7853
Na 0.2853 0.2147 0.7500
Na 0.7147 0.7853 0.2500
Na 0.7500 0.2853 0.2147
Na 0.7853 0.2500 0.7147
B 0.1326 0.2500 0.3674
B 0.2500 0.3674 0.1326
B 0.3674 0.1326 0.2500
B 0.6326 0.8674 0.7500
B 0.7500 0.6326 0.8674
B 0.8674 0.7500 0.6326
S 0.0159 0.2500 0.4841
S 0.1271 0.3729 0.2500
S 0.2500 0.1271 0.3729
S 0.2500 0.4841 0.0159
S 0.3729 0.2500 0.1271
S 0.4841 0.0159 0.2500
S 0.5159 0.9841 0.7500
S 0.6271 0.7500 0.8729
S 0.7500 0.5159 0.9841
S 0.7500 0.8729 0.6271
S 0.8729 0.6271 0.7500
S 0.9841 0.7500 0.5159